(1)
Theoretical powder diffraction line list of LiV2O3F for λ = 1.5418 Å (Cu Kα), from a GGA+U-relaxed structure.

Cell: 6.0990 12.0843 8.5447 Å, 90.00 90.00 90.00°
Space group Imm2 (No. 44)
Unique sites:
Li1 0.0000 0.1213 0.0000 x4
Li2 0.0000 0.3752 0.7764 x4
V1 0.0000 0.0000 0.3787 x2
V2 0.0000 0.2499 0.4048 x4
V3 0.0000 0.5000 0.4013 x2
V4 0.2435 0.1244 0.6425 x8
O1 0.0000 0.0000 0.6302 x2
O2 0.0000 0.2351 0.6367 x4
O3 0.0000 0.5000 0.1479 x2
O4 0.2221 0.3750 0.3748 x8
O5 0.2235 0.1235 0.4088 x8
F1 0.0000 0.0000 0.1398 x2
F2 0.0000 0.2551 0.1499 x4
F3 0.0000 0.5000 0.6397 x2

The 6 most intense peaks (15° ≤ 2θ ≤ 90°), sorted by position:
h k l	Position (°2θ)	d (Å)	I/Imax
1 0 1	17.87	4.964	100
0 3 1	24.43	3.644	28
1 0 3	34.76	2.581	48
2 4 0	42.10	2.146	88
0 0 4	42.31	2.136	42
2 4 4	61.22	1.514	51

***

(2)
Theoretical powder diffraction line list of Co3B2O6 for λ = 1.5418 Å (Cu Kα), from a GGA+U-relaxed structure.

Cell: 4.5723 5.5024 8.5301 Å, 90.00 90.00 90.00°
Space group Pnnm (No. 58)
Unique sites:
Co1 0.0000 0.0000 0.0000 x2
Co2 0.0000 0.5000 0.1873 x4
B1 0.0421 0.2454 0.5000 x4
O1 0.1990 0.2918 0.3621 x8
O2 0.2495 0.3175 0.0000 x4

The 6 most intense peaks (15° ≤ 2θ ≤ 90°), sorted by position:
h k l	Position (°2θ)	d (Å)	I/Imax
1 0 1	22.06	4.030	37
1 1 2	33.01	2.713	100
0 1 3	35.54	2.526	39
1 2 1	39.67	2.272	48
2 2 0	52.01	1.758	31
2 1 3	54.11	1.695	39